Starting from a crystal structure in Alexandria, relaxed with GGA-PBE, the powder X-ray diffraction pattern of RbSr2PtO4 was computed for Cu Kα, 1.54184 Å.
Intensities are scaled so that the largest is 100.

Largest 10 diffraction maxima, in order of rising 2θ, 15° ≤ 2θ ≤ 90°:
- d = 4.933 Å, 2θ 18.0, I 21
- d = 3.193 Å, 2θ 27.9, I 100
- d = 2.806 Å, 2θ 31.9, I 13
- d = 2.746 Å, 2θ 32.6, I 28
- d = 1.963 Å, 2θ 46.3, I 29
- d = 1.942 Å, 2θ 46.8, I 13
- d = 1.685 Å, 2θ 54.4, I 16
- d = 1.659 Å, 2θ 55.4, I 32
- d = 1.597 Å, 2θ 57.7, I 12
- d = 1.273 Å, 2θ 74.6, I 12

Structure:
```
data_RbSr2PtO4
_chemical_formula_sum 'Rb2 Sr4 Pt2 O8'
_cell_length_a 5.492
_cell_length_b 5.492
_cell_length_c 11.225
_cell_angle_alpha 90.00
_cell_angle_beta 90.00
_cell_angle_gamma 90.00
_symmetry_space_group_name_H-M 'P 1'
_symmetry_Int_Tables_number 1
_symmetry_space_group_name_Hall 'P 1'
loop_
_atom_site_label
_atom_site_fract_x
_atom_site_fract_y
_atom_site_fract_z
Rb1 0.000 0.000 0.000
Rb2 0.500 0.500 0.500
Sr1 0.000 0.500 0.250
Sr2 0.000 0.500 0.750
Sr3 0.500 0.000 0.250
Sr4 0.500 0.000 0.750
Pt1 0.000 0.000 0.500
Pt2 0.500 0.500 0.000
O1 0.175 0.175 0.637
O2 0.175 0.825 0.363
O3 0.325 0.325 0.137
O4 0.325 0.675 0.863
O5 0.675 0.325 0.863
O6 0.675 0.675 0.137
O7 0.825 0.175 0.363
O8 0.825 0.825 0.637
```